Structure and simulated X-ray powder pattern of Ta2CuO6 (a cell relaxed with PBE; Cu Kα).
Lines closer than 0.1° are merged.

Structure:
Cell lengths 5.262, 5.385, 5.387 Å; angles 87.94, 60.79, 60.80 degrees
Fractional positions:
Ta 0.000 0.000 0.000
Ta 0.000 0.495 0.505
Cu 0.583 0.748 0.253
O 0.145 0.748 0.253
O 0.484 0.161 0.293
O 0.484 0.783 0.665
O 0.893 0.247 0.752
O 0.931 0.712 0.841
O 0.938 0.335 0.212

Peak list (10 most intense, 10 to 80 degrees two-theta, by intensity)
- d 2.688, I 100
- d 3.866, I 86
- d 3.740, I 35
- d 2.850, I 30
- d 1.933, I 24
- d 1.717, I 23
- d 1.612, I 23
- d 2.631, I 18
- d 1.530, I 18
- d 1.683, I 17